This entry pairs a crystal structure of CaCr2O4 with its theoretical X-ray powder pattern. Radiation: a wavelength of 1.5418 Å. Structure: the PBE+U geometry in Alexandria.

Main lines, by angle (2θ from 15° to 90°):
d 2.700, 33.18 deg, rel. 51, hkl 0 0 4
d 2.665, 33.63 deg, rel. 100, hkl 3 0 2
d 2.544, 35.29 deg, rel. 69, hkl 1 1 2
d 2.534, 35.43 deg, rel. 33, hkl 2 1 0
d 2.250, 40.07 deg, rel. 42, hkl 1 1 3
d 2.115, 42.75 deg, rel. 30, hkl 4 0 2
d 1.848, 49.31 deg, rel. 51, hkl 2 1 4
d 1.517, 61.07 deg, rel. 50, hkl 0 2 0

Structure:
```
data_CaCr2O4
_space_group_name_H-M_alt 'P n m a'
_space_group_IT_number 62
_space_group_name_Hall '-P 2ac 2n'
_cell_length_a 9.1938
_cell_length_b 3.0368
_cell_length_c 10.7986
_cell_angle_alpha 90.00
_cell_angle_beta 90.00
_cell_angle_gamma 90.00
loop_
_atom_site_label
_atom_site_type_symbol
_atom_site_fract_x
_atom_site_fract_y
_atom_site_fract_z
Ca1 Ca 0.2402 0.2500 0.1589
Cr1 Cr 0.0599 0.2500 0.3868
Cr2 Cr 0.0840 0.2500 0.8989
O1 O 0.0288 0.7500 0.7858
O2 O 0.0821 0.2500 0.5734
O3 O 0.1177 0.7500 0.0248
O4 O 0.2016 0.7500 0.3370
```